No. 1
NaSrSi4: simulated X-ray powder pattern (Cu Kα, 1.54184 Å), based on a DFT-relaxed cell (PBE, Alexandria).
Neutral-atom scattering factors, no anomalous dispersion.

Cell and atoms:
```
data_NaSrSi4
_cell_length_a 4.0074
_cell_length_b 4.7136
_cell_length_c 7.1197
_cell_angle_alpha 90.00
_cell_angle_beta 90.00
_cell_angle_gamma 90.00
_symmetry_space_group_name_H-M 'P m m m'
_symmetry_Int_Tables_number 47
loop_
_symmetry_equiv_pos_as_xyz
'x,y,z'
'-x,-y,-z'
'-x,-y,z'
'x,y,-z'
'x,-y,-z'
'-x,y,z'
'-x,y,-z'
'x,-y,z'
loop_
_atom_site_label
_atom_site_fract_x
_atom_site_fract_y
_atom_site_fract_z
Na1 0.0000 0.0000 0.0000
Sr1 0.5000 0.0000 0.5000
Si1 0.0000 0.5000 0.3353
Si2 0.5000 0.5000 0.1649
```

Principal peaks in the range 10° ≤ 2θ ≤ 90°, sorted by position:
2theta	Rel. int.
12.43	32
22.62	16
31.49	50
31.89	100
38.19	26
44.36	34
45.26	16
56.18	18
59.94	27
60.66	13


No. 2
Ta2TiSe2S4: simulated X-ray powder pattern (Cu Kα, 1.54184 Å), based on a DFT-relaxed cell (PBE, Alexandria).
Neutral-atom scattering factors, no anomalous dispersion.

Cell and atoms:
```
data_Ta2TiSe2S4
_cell_length_a 3.3810
_cell_length_b 3.3810
_cell_length_c 21.2162
_cell_angle_alpha 90.00
_cell_angle_beta 90.00
_cell_angle_gamma 120.00
_symmetry_space_group_name_H-M 'P 3 m 1'
_symmetry_Int_Tables_number 156
loop_
_symmetry_equiv_pos_as_xyz
'x,y,z'
'-y,x-y,z'
'-x+y,-x,z'
'-y,-x,z'
'-x+y,y,z'
'x,x-y,z'
loop_
_atom_site_label
_atom_site_fract_x
_atom_site_fract_y
_atom_site_fract_z
Ta1 0.0000 0.0000 0.0000
Ta2 0.3333 0.6667 0.3225
Ti1 0.3333 0.6667 0.6710
Se1 0.0000 0.0000 0.5931
Se2 0.0000 0.0000 0.7488
S1 0.0000 0.0000 0.2493
S2 0.0000 0.0000 0.3956
S3 0.3333 0.6667 0.0731
S4 0.3333 0.6667 0.9269
```

Principal peaks in the range 10° ≤ 2θ ≤ 90°, sorted by position:
2theta	Rel. int.
12.52	100
30.53	24
30.83	14
31.70	15
33.11	15
35.00	20
37.31	41
42.95	14
46.18	27
54.26	17


No. 3
LaPr4Tl4: simulated X-ray powder pattern (Cu Kα, 1.54184 Å), based on a DFT-relaxed cell (PBE, Alexandria).
Neutral-atom scattering factors, no anomalous dispersion.

Cell and atoms:
```
data_LaPr4Tl4
_cell_length_a 9.4472
_cell_length_b 9.4472
_cell_length_c 6.3897
_cell_angle_alpha 90.00
_cell_angle_beta 90.00
_cell_angle_gamma 90.00
_symmetry_space_group_name_H-M 'P 42/n'
_symmetry_Int_Tables_number 86
loop_
_symmetry_equiv_pos_as_xyz
'x,y,z'
'-x,-y,-z'
'-y,x+1/2,z+1/2'
'y,-x+1/2,-z+1/2'
'-x+1/2,-y+1/2,z'
'x+1/2,y+1/2,-z'
'y+1/2,-x,z+1/2'
'-y+1/2,x,-z+1/2'
loop_
_atom_site_label
_atom_site_fract_x
_atom_site_fract_y
_atom_site_fract_z
La1 0.2500 0.2500 0.2500
Pr1 0.0811 0.8251 0.6236
Tl1 0.0402 0.1456 0.8608
```

Principal peaks in the range 10° ≤ 2θ ≤ 90°, sorted by position:
2theta	Rel. int.
29.51	61
29.91	100
30.19	42
31.68	67
33.10	24
35.22	94
37.08	54
56.59	23
66.36	20
88.98	20


No. 4
NpCl3F2: simulated X-ray powder pattern (Cu Kα, 1.54184 Å), based on a DFT-relaxed cell (PBE, Alexandria).
Neutral-atom scattering factors, no anomalous dispersion.

Cell and atoms:
```
data_NpCl3F2
_cell_length_a 11.9670
_cell_length_b 4.1161
_cell_length_c 14.3245
_cell_angle_alpha 90.00
_cell_angle_beta 90.00
_cell_angle_gamma 90.00
_symmetry_space_group_name_H-M 'P n m a'
_symmetry_Int_Tables_number 62
loop_
_symmetry_equiv_pos_as_xyz
'x,y,z'
'-x,-y,-z'
'-x+1/2,-y,z+1/2'
'x+1/2,y,-z+1/2'
'x+1/2,-y+1/2,-z+1/2'
'-x+1/2,y+1/2,z+1/2'
'-x,y+1/2,-z'
'x,-y+1/2,z'
loop_
_atom_site_label
_atom_site_fract_x
_atom_site_fract_y
_atom_site_fract_z
Np1 0.1813 0.2500 0.1637
Cl1 0.0223 0.7500 0.8831
Cl2 0.1565 0.2500 0.6698
Cl3 0.1586 0.2500 0.3347
F1 0.1140 0.7500 0.1837
F2 0.2138 0.2500 0.0277
```

Principal peaks in the range 10° ≤ 2θ ≤ 90°, sorted by position:
2theta	Rel. int.
12.36	35
14.41	100
14.81	31
16.05	55
22.47	41
26.01	38
26.28	32
30.53	19
37.15	27
46.53	26


No. 5
RbAl3Ga2: simulated X-ray powder pattern (Cu Kα, 1.54184 Å), based on a DFT-relaxed cell (PBE, Alexandria).
Neutral-atom scattering factors, no anomalous dispersion.

Cell and atoms:
```
data_RbAl3Ga2
_cell_length_a 16.6325
_cell_length_b 4.2004
_cell_length_c 8.3940
_cell_angle_alpha 90.00
_cell_angle_beta 109.79
_cell_angle_gamma 90.00
_symmetry_space_group_name_H-M 'C 1 2/m 1'
_symmetry_Int_Tables_number 12
loop_
_symmetry_equiv_pos_as_xyz
'x,y,z'
'-x,-y,-z'
'-x,y,-z'
'x,-y,z'
'x+1/2,y+1/2,z'
'-x+1/2,-y+1/2,-z'
'-x+1/2,y+1/2,-z'
'x+1/2,-y+1/2,z'
loop_
_atom_site_label
_atom_site_fract_x
_atom_site_fract_y
_atom_site_fract_z
Rb1 0.1600 0.0000 0.0569
Al1 0.0431 0.0000 0.3780
Al2 0.0806 0.5000 0.6459
Al3 0.1723 0.5000 0.4221
Ga1 0.0181 0.5000 0.1661
Ga2 0.1872 0.0000 0.6498
```

Principal peaks in the range 10° ≤ 2θ ≤ 90°, sorted by position:
2theta	Rel. int.
26.07	30
27.25	100
28.56	32
30.16	59
31.75	43
34.39	30
36.85	31
39.12	23
42.50	24
43.07	38


No. 6
DyHoSi: simulated X-ray powder pattern (Cu Kα, 1.54184 Å), based on a DFT-relaxed cell (PBE, Alexandria).
Neutral-atom scattering factors, no anomalous dispersion.

Cell and atoms:
```
data_DyHoSi
_cell_length_a 6.8289
_cell_length_b 6.8289
_cell_length_c 6.8289
_cell_angle_alpha 90.00
_cell_angle_beta 90.00
_cell_angle_gamma 90.00
_symmetry_space_group_name_H-M 'F -4 3 m'
_symmetry_Int_Tables_number 216
_symmetry_space_group_name_Hall 'F -4 2 3'
loop_
_atom_site_label
_atom_site_fract_x
_atom_site_fract_y
_atom_site_fract_z
Dy1 0.0000 0.0000 0.0000
Ho1 0.0000 0.0000 0.5000
Si1 0.2500 0.2500 0.7500
```

Principal peaks in the range 10° ≤ 2θ ≤ 90°, sorted by position:
2theta	Rel. int.
22.55	2
26.10	88
37.24	100
43.98	1
46.04	26
53.69	17
60.64	34
67.15	36
79.38	11
85.27	17